[1]
# YMgNi4H4
Theoretical powder diffraction line list, CuKα. Input: DFT lattice parameters and positions (GGA-PBE).
Lines closer than 0.1° are merged.

Peak list (10 most intense, 2θ from 10° to 90°, by angle)
- 20.74 deg, intensity 156
- 24.00 deg, intensity 157
- 34.19 deg, intensity 250
- 40.33 deg, intensity 1000
- 42.21 deg, intensity 443
- 61.22 deg, intensity 93
- 65.38 deg, intensity 330
- 72.03 deg, intensity 245
- 85.94 deg, intensity 95
- 87.18 deg, intensity 138

Crystal structure
```
10
Lattice="0.000 3.708 3.708 3.708 0.000 3.708 3.708 3.708 0.000" Properties=species:S:1:pos:R:3 pbc="T T T"
Y 0.000 0.000 0.000
Mg 1.854 1.854 1.854
Ni 4.585 2.832 2.832
Ni 2.832 4.585 2.832
Ni 2.832 2.832 4.585
Ni 4.585 4.585 4.585
H 6.221 4.904 4.904
H 4.904 6.221 4.904
H 4.904 4.904 6.221
H 6.221 6.221 6.221
```



[2]
# Tl3AsAu
Theoretical powder diffraction line list, CuKα. Input: DFT lattice parameters and positions (GGA-PBE).
Lines closer than 0.1° are merged.

Peak list (10 most intense, 2θ from 10° to 90°, by angle)
- 30.54 deg, intensity 1000
- 32.32 deg, intensity 194
- 34.05 deg, intensity 154
- 35.24 deg, intensity 505
- 38.33 deg, intensity 283
- 39.11 deg, intensity 166
- 50.95 deg, intensity 207
- 52.14 deg, intensity 204
- 61.28 deg, intensity 246
- 64.52 deg, intensity 122

Crystal structure
```
10
Lattice="4.697 0.000 0.000 0.000 9.212 0.000 0.000 0.000 6.419" Properties=species:S:1:pos:R:3 pbc="T T T"
Tl 1.174 0.370 1.567
Tl 1.174 2.303 4.660
Tl 1.174 4.236 1.567
Tl 3.523 4.976 4.852
Tl 3.523 6.909 1.759
Tl 3.523 8.842 4.852
As 1.174 6.909 3.744
As 3.523 2.303 2.675
Au 1.174 6.909 6.296
Au 3.523 2.303 0.123
```



[3]
# Hg12BiPb16
Theoretical powder diffraction line list, CuKα. Input: DFT lattice parameters and positions (GGA-PBE).
Lines closer than 0.1° are merged.

Peak list (10 most intense, 2θ from 10° to 90°, by angle)
- 29.81 deg, intensity 699
- 29.98 deg, intensity 522
- 30.43 deg, intensity 520
- 30.62 deg, intensity 657
- 31.94 deg, intensity 819
- 32.70 deg, intensity 940
- 33.99 deg, intensity 1000
- 34.75 deg, intensity 513
- 37.60 deg, intensity 471
- 37.86 deg, intensity 486

Crystal structure
```
29
Lattice="6.125 -7.754 0.000 6.125 7.754 0.000 -4.363 0.000 8.998" Properties=species:S:1:pos:R:3 pbc="T T T"
Hg 0.000 0.000 0.000
Hg 4.842 6.232 3.946
Hg 1.131 0.000 3.076
Hg 3.453 3.098 7.907
Hg 5.770 1.504 0.677
Hg 5.770 -1.504 0.677
Hg 5.556 1.504 6.269
Hg 8.764 2.620 2.093
Hg 3.453 -3.098 7.907
Hg 5.556 -1.504 6.269
Hg 4.842 -6.232 3.946
Hg 8.764 -2.620 2.093
Bi -1.048 0.000 7.503
Pb 0.093 3.026 6.627
Pb 2.632 5.822 6.301
Pb 2.553 2.092 0.982
Pb 5.253 4.768 0.358
Pb 2.733 2.854 4.518
Pb 2.553 -2.092 0.982
Pb 5.960 3.249 3.464
Pb 2.232 0.000 6.518
Pb 0.093 -3.026 6.627
Pb 4.300 0.000 3.395
Pb 2.733 -2.854 4.518
Pb 8.917 0.000 0.178
Pb 5.253 -4.768 0.358
Pb 7.643 0.000 3.663
Pb 5.960 -3.249 3.464
Pb 2.632 -5.822 6.301
```